Simulated powder XRD pattern
Compound: Sc3Fe
Radiation: Cu Kα
Structure: a GGA-PBE-relaxed structure
Neutral-atom scattering factors, no anomalous dispersion.

Structural model:
Cell lengths 5.735, 5.735, 5.735 Å; angles 146.94, 129.55, 61.65 degrees
Element x y z (fractional)
Sc (0.000, 0.000, 0.000)
Sc (0.302, 0.802, 0.500)
Sc (0.698, 0.198, 0.500)
Fe (0.500, 0.500, 0.000)

Largest 12 diffraction maxima, sorted by position, 2θ = 5–70°:
2theta  d (Å)  Rel. int.
20.28  4.379  16
32.86  2.725  9
36.49  2.462  15
36.77  2.444  33
37.85  2.377  100
38.91  2.314  12
49.97  1.825  17
52.77  1.735  9
54.61  1.681  8
56.39  1.632  9
66.94  1.398  16
69.23  1.357  9

Simulated powder XRD pattern
Compound: Sc2Fe
Radiation: Cu Kα
Structure: a GGA-PBE-relaxed structure
Neutral-atom scattering factors, no anomalous dispersion.

Structural model:
Cell lengths 6.143, 6.151, 3.145 Å; angles 90.00, 90.00, 90.00 degrees
Element x y z (fractional)
Sc (0.175, 0.221, 0.000)
Sc (0.325, 0.721, 0.500)
Sc (0.675, 0.279, 0.500)
Sc (0.825, 0.779, 0.000)
Fe (0.000, 0.500, 0.500)
Fe (0.500, 0.000, 0.000)

Largest 12 diffraction maxima, sorted by position, 2θ = 5–70°:
2theta  d (Å)  Rel. int.
20.43  4.346  90
31.96  2.800  64
32.58  2.748  59
35.22  2.548  99
41.55  2.173  58
43.73  2.070  100
46.73  1.944  42
53.39  1.716  48
55.56  1.654  18
58.71  1.573  18
61.90  1.499  22
62.30  1.490  13

Simulated powder XRD pattern
Compound: Sc5Fe
Radiation: Cu Kα
Structure: a GGA-PBE-relaxed structure
Neutral-atom scattering factors, no anomalous dispersion.

Structural model:
Cell lengths 5.794, 5.794, 7.692 Å; angles 110.99, 110.99, 32.55 degrees
Element x y z (fractional)
Sc (0.000, 0.000, 0.000)
Sc (0.336, 0.336, 0.217)
Sc (0.368, 0.368, 0.630)
Sc (0.632, 0.632, 0.370)
Sc (0.664, 0.664, 0.783)
Fe (0.000, 0.000, 0.500)

Largest 12 diffraction maxima, sorted by position, 2θ = 5–70°:
2theta  d (Å)  Rel. int.
12.40  7.136  38
17.18  5.161  16
34.47  2.602  38
35.16  2.553  14
35.53  2.527  60
36.21  2.481  100
38.10  2.362  98
45.39  1.998  16
53.25  1.720  11
56.68  1.624  16
66.75  1.401  16
68.71  1.366  15

Simulated powder XRD pattern
Compound: Sc4Fe
Radiation: Cu Kα
Structure: a GGA-PBE-relaxed structure
Neutral-atom scattering factors, no anomalous dispersion.

Structural model:
Cell lengths 6.537, 6.537, 6.033 Å; angles 90.00, 90.00, 121.35 degrees
Element x y z (fractional)
Sc (0.026, 0.286, 0.053)
Sc (0.214, 0.474, 0.553)
Sc (0.286, 0.026, 0.553)
Sc (0.474, 0.214, 0.053)
Sc (0.526, 0.786, 0.947)
Sc (0.714, 0.974, 0.447)
Sc (0.786, 0.526, 0.447)
Sc (0.974, 0.714, 0.947)
Fe (0.250, 0.750, 0.250)
Fe (0.750, 0.250, 0.750)

Largest 12 diffraction maxima, sorted by position, 2θ = 5–70°:
2theta  d (Å)  Rel. int.
15.55  5.699  40
21.69  4.097  18
31.13  2.873  38
31.39  2.850  21
33.78  2.654  19
35.44  2.533  100
41.12  2.195  17
42.47  2.128  19
43.70  2.071  43
45.80  1.981  19
48.09  1.892  23
58.54  1.577  20

Simulated powder XRD pattern
Compound: Sc3Fe
Radiation: Cu Kα
Structure: a GGA-PBE-relaxed structure
Neutral-atom scattering factors, no anomalous dispersion.

Structural model:
Cell lengths 6.598, 8.387, 5.812 Å; angles 90.00, 90.00, 90.00 degrees
Element x y z (fractional)
Sc (0.045, 0.250, 0.124)
Sc (0.177, 0.063, 0.669)
Sc (0.177, 0.437, 0.669)
Sc (0.323, 0.563, 0.169)
Sc (0.323, 0.937, 0.169)
Sc (0.455, 0.750, 0.624)
Sc (0.545, 0.250, 0.376)
Sc (0.677, 0.063, 0.831)
Sc (0.677, 0.437, 0.831)
Sc (0.823, 0.563, 0.331)
Sc (0.823, 0.937, 0.331)
Sc (0.955, 0.750, 0.876)
Fe (0.111, 0.750, 0.467)
Fe (0.389, 0.250, 0.967)
Fe (0.611, 0.750, 0.033)
Fe (0.889, 0.250, 0.533)

Largest 12 diffraction maxima, sorted by position, 2θ = 5–70°:
2theta  d (Å)  Rel. int.
22.98  3.869  55
34.60  2.593  72
35.41  2.535  100
35.64  2.519  75
37.66  2.389  59
38.00  2.368  78
38.24  2.354  97
42.38  2.133  53
42.85  2.110  47
45.40  1.998  51
53.95  1.700  51
65.80  1.419  46

Simulated powder XRD pattern
Compound: ScFeSi4
Radiation: Cu Kα
Structure: a GGA-PBE-relaxed structure
Neutral-atom scattering factors, no anomalous dispersion.

Structural model:
Cell lengths 4.977, 4.977, 4.977 Å; angles 60.00, 60.00, 60.00 degrees
Element x y z (fractional)
Sc (0.000, 0.000, 0.000)
Fe (0.250, 0.250, 0.250)
Si (0.128, 0.624, 0.624)
Si (0.624, 0.128, 0.624)
Si (0.624, 0.624, 0.128)
Si (0.624, 0.624, 0.624)

Largest 9 diffraction maxima, sorted by position, 2θ = 5–70°:
2theta  d (Å)  Rel. int.
21.87  4.064  4
25.31  3.519  1
36.09  2.489  52
42.60  2.122  100
44.59  2.032  22
57.03  1.615  1
58.65  1.574  1
64.90  1.437  16
69.37  1.355  29